Starting from a PBE+U-relaxed structure, the powder diffraction line list of Li3Mn5Cr3O16 was computed for a wavelength of 1.5418 Å.
Intensities are scaled so that the largest is 100.

Structure:
Cell lengths 5.918, 5.918, 10.194 Å; angles 106.48, 106.48, 59.31 degrees
Fractional coordinates of all 27 atoms:
Li  0.000  0.000  0.000
Li  0.314  0.314  0.431
Li  0.630  0.630  0.862
Mn  0.061  0.564  0.180
Mn  0.066  0.568  0.681
Mn  0.564  0.061  0.180
Mn  0.568  0.066  0.681
Mn  0.815  0.815  0.431
Cr  0.066  0.066  0.674
Cr  0.315  0.315  0.931
Cr  0.563  0.563  0.187
O  0.152  0.699  0.557
O  0.202  0.658  0.068
O  0.208  0.208  0.066
O  0.209  0.209  0.576
O  0.420  0.420  0.286
O  0.422  0.422  0.795
O  0.427  0.971  0.794
O  0.478  0.930  0.305
O  0.658  0.202  0.068
O  0.697  0.697  0.077
O  0.699  0.152  0.557
O  0.716  0.716  0.566
O  0.914  0.914  0.296
O  0.930  0.478  0.305
O  0.933  0.933  0.785
O  0.971  0.427  0.794

Peak list (8 most intense, 2θ from 10° to 90°, by angle)
2theta  I_rel
18.3  46
18.5  100
35.5  14
35.8  24
35.9  10
43.4  79
62.8  14
63.3  14

***

Starting from a PBE+U-relaxed structure, the powder diffraction line list of Li8MnCr3O12 was computed for a wavelength of 1.5418 Å.
Intensities are scaled so that the largest is 100.

Structure:
Cell lengths 4.954, 4.966, 8.440 Å; angles 89.39, 89.24, 89.66 degrees
Fractional coordinates of all 24 atoms:
Li  0.000  0.000  0.000
Li  0.002  0.501  0.669
Li  0.494  0.494  0.192
Li  0.499  0.999  0.857
Li  0.506  0.994  0.166
Li  0.512  0.503  0.505
Li  0.985  0.493  0.359
Li  0.988  0.002  0.692
Mn  0.500  0.497  0.844
Cr  0.007  0.992  0.337
Cr  0.490  0.005  0.525
Cr  0.995  0.502  0.021
O  0.133  0.245  0.180
O  0.174  0.286  0.857
O  0.180  0.218  0.505
O  0.314  0.778  0.356
O  0.327  0.719  0.005
O  0.358  0.749  0.679
O  0.651  0.255  0.683
O  0.665  0.277  0.006
O  0.672  0.210  0.356
O  0.823  0.786  0.504
O  0.828  0.711  0.856
O  0.849  0.738  0.178

Peak list (8 most intense, 2θ from 10° to 90°, by angle)
2theta  I_rel
20.7  92
20.9  100
21.1  17
32.9  19
33.3  33
33.4  16
42.2  18
52.0  32

***

Starting from a PBE+U-relaxed structure, the powder diffraction line list of Li4Mn3CrP4O16 was computed for a wavelength of 1.5418 Å.
Intensities are scaled so that the largest is 100.

Structure:
Cell lengths 4.790, 6.229, 10.489 Å; angles 90.00, 90.83, 90.00 degrees
Fractional coordinates of all 28 atoms:
Li  0.000  0.247  0.000
Li  0.000  0.753  0.000
Li  0.485  0.248  0.496
Li  0.485  0.752  0.496
Mn  0.022  0.000  0.280
Mn  0.462  0.000  0.779
Mn  0.964  0.500  0.717
Cr  0.543  0.500  0.214
P  0.082  0.500  0.402
P  0.410  0.500  0.908
P  0.584  0.000  0.089
P  0.897  0.000  0.590
O  0.195  0.500  0.542
O  0.213  0.299  0.337
O  0.213  0.701  0.337
O  0.218  0.000  0.594
O  0.263  0.000  0.091
O  0.273  0.301  0.840
O  0.273  0.699  0.840
O  0.299  0.500  0.047
O  0.705  0.000  0.952
O  0.717  0.198  0.159
O  0.717  0.802  0.159
O  0.731  0.500  0.903
O  0.759  0.500  0.393
O  0.767  0.199  0.659
O  0.767  0.801  0.659
O  0.773  0.000  0.452

Peak list (8 most intense, 2θ from 10° to 90°, by angle)
2theta  I_rel
16.9  35
20.3  48
20.5  40
24.8  49
25.0  67
28.7  100
34.7  71
35.1  69

***

Starting from a PBE+U-relaxed structure, the powder diffraction line list of Li2MnCrP2O8 was computed for a wavelength of 1.5418 Å.
Intensities are scaled so that the largest is 100.

Structure:
Cell lengths 4.787, 6.266, 10.415 Å; angles 90.00, 91.51, 90.00 degrees
Fractional coordinates of all 28 atoms:
Li  0.000  0.000  0.000
Li  0.000  0.500  0.000
Li  0.500  0.000  0.500
Li  0.500  0.500  0.500
Mn  0.030  0.250  0.282
Mn  0.970  0.750  0.718
Cr  0.448  0.250  0.784
Cr  0.552  0.750  0.216
P  0.095  0.750  0.404
P  0.417  0.750  0.910
P  0.583  0.250  0.090
P  0.905  0.250  0.596
O  0.211  0.750  0.545
O  0.223  0.549  0.338
O  0.223  0.951  0.338
O  0.229  0.250  0.605
O  0.262  0.250  0.093
O  0.279  0.554  0.841
O  0.279  0.946  0.841
O  0.304  0.750  0.050
O  0.696  0.250  0.950
O  0.721  0.054  0.159
O  0.721  0.446  0.159
O  0.738  0.750  0.907
O  0.771  0.750  0.395
O  0.777  0.049  0.662
O  0.777  0.451  0.662
O  0.789  0.250  0.455

Peak list (8 most intense, 2θ from 10° to 90°, by angle)
2theta  I_rel
17.0  33
20.2  52
20.6  37
24.8  44
25.1  52
28.5  100
34.6  66
35.4  84